(1)
Structure and computed powder X-ray diffraction pattern of CuSeSO (a cell relaxed with GGA-PBE; a wavelength of 1.5418 Å).
Peak positions follow from Bragg's law for the DFT cell and can differ from measured ones.

Principal peaks in the range 2θ = 10–90°, sorted by position:
- 2θ 19.3, 4.610 Å, I 40
- 2θ 22.3, 3.988 Å, I 74
- 2θ 23.1, 3.845 Å, I 36
- 2θ 25.7, 3.471 Å, I 23
- 2θ 27.7, 3.219 Å, I 48
- 2θ 28.8, 3.104 Å, I 100
- 2θ 33.6, 2.670 Å, I 39
- 2θ 37.0, 2.428 Å, I 41
- 2θ 38.3, 2.352 Å, I 23
- 2θ 45.4, 1.996 Å, I 32

Atomic structure:
Lattice parameters (Å, degrees): 4.804 5.681 5.819 91.64 100.64 101.95
Element x y z (fractional)
Cu 0.000 0.000 0.000
Cu 0.334 0.737 0.562
Se 0.027 0.342 0.454
Se 0.303 0.117 0.723
S 0.701 0.720 0.168
S 0.724 0.666 0.820
O 0.147 0.288 0.192
O 0.451 0.824 0.225

=====

(2)
Structure and computed powder X-ray diffraction pattern of P6IrCl11 (a cell relaxed with GGA-PBE; a wavelength of 1.5418 Å).
Peak positions follow from Bragg's law for the DFT cell and can differ from measured ones.

Principal peaks in the range 2θ = 10–90°, sorted by position:
- 2θ 10.3, 8.604 Å, I 100
- 2θ 11.9, 7.467 Å, I 30
- 2θ 12.1, 7.312 Å, I 35
- 2θ 17.0, 5.224 Å, I 14
- 2θ 23.7, 3.758 Å, I 10
- 2θ 25.8, 3.447 Å, I 13
- 2θ 30.7, 2.912 Å, I 10
- 2θ 30.8, 2.902 Å, I 12
- 2θ 31.5, 2.838 Å, I 11
- 2θ 37.5, 2.397 Å, I 10

Atomic structure:
Lattice parameters (Å, degrees): 9.053 9.053 7.490 92.64 92.64 107.76
Element x y z (fractional)
P 0.013 0.818 0.715
P 0.182 0.987 0.285
P 0.209 0.209 0.672
P 0.791 0.791 0.328
P 0.818 0.013 0.715
P 0.987 0.182 0.285
Ir 0.000 0.000 0.500
Cl 0.000 0.000 0.000
Cl 0.145 0.746 0.229
Cl 0.212 0.428 0.603
Cl 0.254 0.855 0.771
Cl 0.268 0.268 0.208
Cl 0.428 0.212 0.603
Cl 0.572 0.788 0.397
Cl 0.732 0.732 0.792
Cl 0.746 0.145 0.229
Cl 0.788 0.572 0.397
Cl 0.855 0.254 0.771

=====

Which formula does entry 2 have?
P6IrCl11

=====

Copy entry 1 word for word.
Structure and computed powder X-ray diffraction pattern of CuSeSO (a cell relaxed with GGA-PBE; a wavelength of 1.5418 Å).
Peak positions follow from Bragg's law for the DFT cell and can differ from measured ones.

Principal peaks in the range 2θ = 10–90°, sorted by position:
- 2θ 19.3, 4.610 Å, I 40
- 2θ 22.3, 3.988 Å, I 74
- 2θ 23.1, 3.845 Å, I 36
- 2θ 25.7, 3.471 Å, I 23
- 2θ 27.7, 3.219 Å, I 48
- 2θ 28.8, 3.104 Å, I 100
- 2θ 33.6, 2.670 Å, I 39
- 2θ 37.0, 2.428 Å, I 41
- 2θ 38.3, 2.352 Å, I 23
- 2θ 45.4, 1.996 Å, I 32

Atomic structure:
Lattice parameters (Å, degrees): 4.804 5.681 5.819 91.64 100.64 101.95
Element x y z (fractional)
Cu 0.000 0.000 0.000
Cu 0.334 0.737 0.562
Se 0.027 0.342 0.454
Se 0.303 0.117 0.723
S 0.701 0.720 0.168
S 0.724 0.666 0.820
O 0.147 0.288 0.192
O 0.451 0.824 0.225